[1]
Calculated powder X-ray diffraction pattern
Compound: Ca2DySn3Pd4
Radiation: Cu Kα
Structure: a crystal structure in Alexandria, relaxed with PBE

Atomic structure:
```
data_Ca2DySn3Pd4
_chemical_formula_sum 'Ca2 Dy1 Sn3 Pd4'
_space_group_name_H-M_alt 'P -4 m 2'
_space_group_IT_number 115
_space_group_name_Hall 'P -4 -2'
_cell_length_a 4.5698
_cell_length_b 4.5698
_cell_length_c 11.2813
_cell_angle_alpha 90.00
_cell_angle_beta 90.00
_cell_angle_gamma 90.00
loop_
_atom_site_label
_atom_site_fract_x
_atom_site_fract_y
_atom_site_fract_z
Ca1 0.0000 0.5000 0.2232
Dy1 0.0000 0.0000 0.5000
Sn1 0.0000 0.5000 0.8765
Sn2 0.5000 0.5000 0.5000
Pd1 0.0000 0.0000 0.0000
Pd2 0.0000 0.5000 0.6453
Pd3 0.5000 0.5000 0.0000
```

Largest 10 diffraction maxima, low angle first, 2θ from 15° to 90°:
2theta  d_spacing  I/Imax  (hkl)
15.7  5.641  465  0 0 2
21.0  4.235  482  1 0 1
30.8  2.904  318  1 0 3
31.9  2.804  1000  1 1 2
39.4  2.285  772  2 0 0
42.5  2.125  863  1 1 4
44.8  2.023  187  1 0 5
57.0  1.616  262  2 2 0
66.8  1.400  231  3 1 2
73.7  1.286  349  3 1 4

[2]
Calculated powder X-ray diffraction pattern
Compound: K2NpF7
Radiation: Cu Kα
Structure: a crystal structure in Alexandria, relaxed with PBE

Atomic structure:
```
data_K2NpF7
_chemical_formula_sum 'K8 Np4 F28'
_space_group_name_H-M_alt 'C 1 2/c 1'
_space_group_IT_number 15
_space_group_name_Hall '-C 2yc'
_cell_length_a 13.8945
_cell_length_b 6.8154
_cell_length_c 8.2363
_cell_angle_alpha 90.00
_cell_angle_beta 125.74
_cell_angle_gamma 90.00
loop_
_atom_site_label
_atom_site_fract_x
_atom_site_fract_y
_atom_site_fract_z
K1 0.1750 0.0131 0.2474
Np1 0.0000 0.4667 0.7500
F1 0.0000 0.1429 0.7500
F2 0.0767 0.3654 0.0610
F3 0.1132 0.2890 0.4297
F4 0.1751 0.3805 0.8496
```

Largest 10 diffraction maxima, low angle first, 2θ from 15° to 90°:
2theta  d_spacing  I/Imax  (hkl)
15.2  5.833  1000  1 1 0
15.7  5.639  406  2 0 0
21.6  4.118  207  2 0 -2
26.2  3.408  184  0 2 0
26.4  3.373  187  1 1 -2
26.6  3.355  412  3 1 -2
26.7  3.342  240  0 0 2
27.1  3.292  374  3 1 0
37.7  2.386  223  0 2 2
46.7  1.945  254  3 1 -4

[3]
Calculated powder X-ray diffraction pattern
Compound: SrMgZn3
Radiation: Cu Kα
Structure: a crystal structure in Alexandria, relaxed with PBE

Atomic structure:
```
data_SrMgZn3
_chemical_formula_sum 'Sr2 Mg2 Zn6'
_space_group_name_H-M_alt 'P 42/m m c'
_space_group_IT_number 131
_space_group_name_Hall '-P 4c 2'
_cell_length_a 4.3403
_cell_length_b 4.3403
_cell_length_c 11.9174
_cell_angle_alpha 90.00
_cell_angle_beta 90.00
_cell_angle_gamma 90.00
loop_
_atom_site_label
_atom_site_fract_x
_atom_site_fract_y
_atom_site_fract_z
Sr1 0.0000 0.0000 0.2500
Mg1 0.0000 0.5000 0.0000
Zn1 0.0000 0.5000 0.5000
Zn2 0.5000 0.5000 0.1404
```

Largest 10 diffraction maxima, low angle first, 2θ from 15° to 90°:
2theta  d_spacing  I/Imax  (hkl)
25.4  3.508  157  1 0 2
29.1  3.069  271  1 1 0
32.8  2.728  1000  1 1 2
36.6  2.456  797  1 0 4
41.6  2.170  611  2 0 0
42.3  2.138  216  1 1 4
50.5  1.806  176  1 0 6
56.6  1.626  433  2 1 4
60.3  1.535  195  2 2 0
70.4  1.338  204  3 1 2

[4]
Calculated powder X-ray diffraction pattern
Compound: Na2ZrTl2
Radiation: Cu Kα
Structure: a crystal structure in Alexandria, relaxed with PBE

Atomic structure:
```
data_Na2ZrTl2
_chemical_formula_sum 'Na4 Zr2 Tl4'
_space_group_name_H-M_alt 'P 4/m b m'
_space_group_IT_number 127
_space_group_name_Hall '-P 4 2ab'
_cell_length_a 8.6128
_cell_length_b 8.6128
_cell_length_c 3.5178
_cell_angle_alpha 90.00
_cell_angle_beta 90.00
_cell_angle_gamma 90.00
loop_
_atom_site_label
_atom_site_fract_x
_atom_site_fract_y
_atom_site_fract_z
Na1 0.1296 0.3704 0.0000
Zr1 0.0000 0.0000 0.5000
Tl1 0.1747 0.6747 0.5000
```

Largest 10 diffraction maxima, low angle first, 2θ from 15° to 90°:
2theta  d_spacing  I/Imax  (hkl)
23.1  3.852  830  2 1 0
25.3  3.518  517  0 0 1
32.9  2.724  587  3 1 0
34.5  2.598  1000  2 1 1
42.0  2.154  351  3 1 1
43.3  2.089  285  4 1 0
50.8  1.796  378  4 1 1
52.0  1.759  222  0 0 2
62.9  1.477  251  5 3 0
69.0  1.362  212  5 3 1

[5]
Calculated powder X-ray diffraction pattern
Compound: HoHfNb4
Radiation: Cu Kα
Structure: a crystal structure in Alexandria, relaxed with PBE

Atomic structure:
```
data_HoHfNb4
_chemical_formula_sum 'Ho4 Hf4 Nb16'
_space_group_name_H-M_alt 'F -4 3 m'
_space_group_IT_number 216
_space_group_name_Hall 'F -4 2 3'
_cell_length_a 7.9480
_cell_length_b 7.9480
_cell_length_c 7.9480
_cell_angle_alpha 90.00
_cell_angle_beta 90.00
_cell_angle_gamma 90.00
loop_
_atom_site_label
_atom_site_fract_x
_atom_site_fract_y
_atom_site_fract_z
Ho1 0.0000 0.0000 0.0000
Hf1 0.2500 0.2500 0.7500
Nb1 0.1250 0.1250 0.3750
```

Largest 10 diffraction maxima, low angle first, 2θ from 15° to 90°:
2theta  d_spacing  I/Imax  (hkl)
19.3  4.589  18  1 1 1
31.8  2.810  480  2 2 0
37.5  2.396  1000  3 1 1
39.3  2.294  231  2 2 2
56.7  1.622  189  4 2 2
60.5  1.530  327  5 1 1
66.6  1.405  256  4 4 0
75.7  1.257  81  6 2 0
79.0  1.212  113  5 3 3
80.1  1.198  82  6 2 2

[6]
Calculated powder X-ray diffraction pattern
Compound: Sm3Al2Pd6
Radiation: Cu Kα
Structure: a crystal structure in Alexandria, relaxed with PBE

Atomic structure:
```
data_Sm3Al2Pd6
_chemical_formula_sum 'Sm12 Al8 Pd24'
_space_group_name_H-M_alt 'I m -3 m'
_space_group_IT_number 229
_space_group_name_Hall '-I 4 2 3'
_cell_length_a 9.5666
_cell_length_b 9.5666
_cell_length_c 9.5666
_cell_angle_alpha 90.00
_cell_angle_beta 90.00
_cell_angle_gamma 90.00
loop_
_atom_site_label
_atom_site_fract_x
_atom_site_fract_y
_atom_site_fract_z
Sm1 0.0000 0.0000 0.2935
Al1 0.2500 0.2500 0.2500
Pd1 0.0000 0.3273 0.3273
```

Largest 10 diffraction maxima, low angle first, 2θ from 15° to 90°:
2theta  d_spacing  I/Imax  (hkl)
26.4  3.382  149  2 2 0
29.5  3.025  233  3 1 0
35.1  2.557  274  3 2 1
37.6  2.392  131  4 0 0
40.0  2.255  1000  3 3 0
56.1  1.641  86  4 3 3
57.8  1.594  131  6 0 0
59.6  1.552  169  5 3 2
64.6  1.442  100  6 2 2
72.6  1.302  252  6 3 3

[7]
Calculated powder X-ray diffraction pattern
Compound: Re2TcIr2
Radiation: Cu Kα
Structure: a crystal structure in Alexandria, relaxed with PBE

Atomic structure:
```
data_Re2TcIr2
_chemical_formula_sum 'Re4 Tc2 Ir4'
_space_group_name_H-M_alt 'P -1'
_space_group_IT_number 2
_space_group_name_Hall '-P 1'
_cell_length_a 4.7588
_cell_length_b 4.7675
_cell_length_c 7.2548
_cell_angle_alpha 102.66
_cell_angle_beta 108.87
_cell_angle_gamma 99.72
loop_
_atom_site_label
_atom_site_fract_x
_atom_site_fract_y
_atom_site_fract_z
Re1 0.0989 0.0445 0.3484
Re2 0.2956 0.6465 0.5476
Tc1 0.3028 0.1534 0.0528
Ir1 0.1066 0.5566 0.8479
Ir2 0.4978 0.2427 0.7477
```

Largest 10 diffraction maxima, low angle first, 2θ from 15° to 90°:
2theta  d_spacing  I/Imax  (hkl)
40.2  2.245  1000  1 -2 0
40.3  2.240  329  2 0 -2
46.6  1.947  222  2 -1 1
46.8  1.941  429  -1 1 3
68.1  1.377  71  1 -3 3
68.2  1.374  280  1 0 4
82.1  1.174  128  3 -3 1
82.2  1.173  85  -4 1 1
82.3  1.171  168  0 2 4
82.5  1.169  84  1 0 -6

[8]
Calculated powder X-ray diffraction pattern
Compound: CsRbCd2As2
Radiation: Cu Kα
Structure: a crystal structure in Alexandria, relaxed with PBE

Atomic structure:
```
data_CsRbCd2As2
_chemical_formula_sum 'Cs1 Rb1 Cd2 As2'
_space_group_name_H-M_alt 'P -3 m 1'
_space_group_IT_number 164
_space_group_name_Hall '-P 3 2"'
_cell_length_a 4.6236
_cell_length_b 4.6236
_cell_length_c 11.3535
_cell_angle_alpha 90.00
_cell_angle_beta 90.00
_cell_angle_gamma 120.00
loop_
_atom_site_label
_atom_site_fract_x
_atom_site_fract_y
_atom_site_fract_z
Cs1 0.0000 0.0000 0.0000
Rb1 0.0000 0.0000 0.5000
Cd1 0.3333 0.6667 0.7396
As1 0.3333 0.6667 0.2581
```

Largest 10 diffraction maxima, low angle first, 2θ from 15° to 90°:
2theta  d_spacing  I/Imax  (hkl)
15.6  5.677  105  0 0 2
27.3  3.272  1000  0 1 2
31.5  2.838  239  0 0 4
39.0  2.312  417  1 1 0
48.2  1.888  203  2 0 2
50.9  1.792  360  1 1 4
53.6  1.711  141  0 1 6
63.6  1.462  185  1 2 2
79.2  1.209  87  1 1 8
79.3  1.208  97  3 0 4